Entry 1:
Computed powder X-ray diffraction pattern of BaYF5 for Cu Kα, 1.54184 Å, from a structure optimized by DFT (GGA-PBE).
Intensities are scaled so that the largest is 100.

Atomic structure:
```
data_BaYF5
_cell_length_a 8.501
_cell_length_b 8.501
_cell_length_c 5.972
_cell_angle_alpha 90.74
_cell_angle_beta 90.74
_cell_angle_gamma 149.53
_space_group_name_H-M_alt 'P 1'
_space_group_IT_number 1
_space_group_name_Hall 'P 1'
loop_
_atom_site_label
_atom_site_fract_x
_atom_site_fract_y
_atom_site_fract_z
Ba1 0.173 0.827 0.750
Ba2 0.827 0.173 0.250
Y1 0.426 0.574 0.750
Y2 0.574 0.426 0.250
F1 0.116 0.884 0.250
F2 0.241 0.312 0.405
F3 0.305 0.672 0.988
F4 0.312 0.241 0.905
F5 0.328 0.695 0.512
F6 0.672 0.305 0.488
F7 0.688 0.759 0.095
F8 0.695 0.328 0.012
F9 0.759 0.688 0.595
F10 0.884 0.116 0.750
```

Most intense lines, 10 to 90 degrees two-theta, sorted by position:
d 3.572, 2θ 24.9, intensity 69
d 3.457, 2θ 25.8, intensity 44
d 3.416, 2θ 26.1, intensity 54
d 3.380, 2θ 26.4, intensity 100
d 2.982, 2θ 30.0, intensity 34
d 2.302, 2θ 39.1, intensity 25
d 2.217, 2θ 40.7, intensity 40
d 1.886, 2θ 48.2, intensity 29
d 1.839, 2θ 49.6, intensity 30
d 1.789, 2θ 51.0, intensity 26

***

Entry 2:
Computed powder X-ray diffraction pattern of Dy2Y6HoTh3 for Cu Kα, 1.54184 Å, from a structure optimized by DFT (GGA-PBE).
Intensities are scaled so that the largest is 100.

Atomic structure:
```
data_Dy2Y6HoTh3
_cell_length_a 6.193
_cell_length_b 6.193
_cell_length_c 11.757
_cell_angle_alpha 95.05
_cell_angle_beta 95.05
_cell_angle_gamma 119.98
_space_group_name_H-M_alt 'P 1'
_space_group_IT_number 1
_space_group_name_Hall 'P 1'
loop_
_atom_site_label
_atom_site_fract_x
_atom_site_fract_y
_atom_site_fract_z
Dy1 0.167 0.833 0.000
Dy2 0.833 0.167 0.000
Y1 0.082 0.416 0.747
Y2 0.251 0.251 0.253
Y3 0.416 0.082 0.747
Y4 0.584 0.918 0.253
Y5 0.749 0.749 0.747
Y6 0.918 0.584 0.253
Ho1 0.500 0.500 0.000
Th1 0.000 0.000 0.500
Th2 0.333 0.667 0.500
Th3 0.667 0.333 0.500
```

Most intense lines, 10 to 90 degrees two-theta, sorted by position:
d 5.787, 2θ 15.3, intensity 21
d 3.049, 2θ 29.3, intensity 14
d 2.917, 2θ 30.7, intensity 100
d 2.893, 2θ 30.9, intensity 33
d 2.521, 2θ 35.6, intensity 67
d 1.788, 2θ 51.1, intensity 24
d 1.777, 2θ 51.4, intensity 24
d 1.524, 2θ 60.8, intensity 14
d 1.521, 2θ 60.9, intensity 28
d 1.514, 2θ 61.2, intensity 14

***

Entry 3:
Computed powder X-ray diffraction pattern of RbPm2AgO4 for Cu Kα, 1.54184 Å, from a structure optimized by DFT (GGA-PBE).
Intensities are scaled so that the largest is 100.

Atomic structure:
```
data_RbPm2AgO4
_cell_length_a 6.401
_cell_length_b 6.401
_cell_length_c 12.715
_cell_angle_alpha 90.00
_cell_angle_beta 90.00
_cell_angle_gamma 146.66
_space_group_name_H-M_alt 'P 1'
_space_group_IT_number 1
_space_group_name_Hall 'P 1'
loop_
_atom_site_label
_atom_site_fract_x
_atom_site_fract_y
_atom_site_fract_z
Rb1 0.086 0.914 0.750
Rb2 0.914 0.086 0.250
Pm1 0.367 0.633 0.560
Pm2 0.367 0.633 0.940
Pm3 0.633 0.367 0.060
Pm4 0.633 0.367 0.440
Ag1 0.196 0.804 0.250
Ag2 0.804 0.196 0.750
O1 0.000 0.000 0.000
O2 0.000 0.000 0.500
O3 0.251 0.749 0.085
O4 0.251 0.749 0.415
O5 0.421 0.579 0.750
O6 0.579 0.421 0.250
O7 0.749 0.251 0.585
O8 0.749 0.251 0.915
```

Most intense lines, 10 to 90 degrees two-theta, sorted by position:
d 5.523, 2θ 16.0, intensity 58
d 3.486, 2θ 25.5, intensity 92
d 3.078, 2θ 29.0, intensity 100
d 2.707, 2θ 33.1, intensity 67
d 2.671, 2θ 33.6, intensity 83
d 2.510, 2θ 35.8, intensity 97
d 2.349, 2θ 38.3, intensity 39
d 1.861, 2θ 48.9, intensity 55
d 1.839, 2θ 49.6, intensity 77
d 1.448, 2θ 64.4, intensity 36

***

Entry 4:
Computed powder X-ray diffraction pattern of Ti4Ge3Mo for Cu Kα, 1.54184 Å, from a structure optimized by DFT (GGA-PBE).
Intensities are scaled so that the largest is 100.

Atomic structure:
```
data_Ti4Ge3Mo
_cell_length_a 7.505
_cell_length_b 7.505
_cell_length_c 7.505
_cell_angle_alpha 96.64
_cell_angle_beta 96.64
_cell_angle_gamma 140.24
_space_group_name_H-M_alt 'P 1'
_space_group_IT_number 1
_space_group_name_Hall 'P 1'
loop_
_atom_site_label
_atom_site_fract_x
_atom_site_fract_y
_atom_site_fract_z
Ti1 0.076 0.777 0.853
Ti2 0.223 0.076 0.299
Ti3 0.277 0.576 0.853
Ti4 0.424 0.277 0.701
Ti5 0.576 0.723 0.299
Ti6 0.723 0.424 0.147
Ti7 0.777 0.924 0.701
Ti8 0.924 0.223 0.147
Ge1 0.164 0.336 0.500
Ge2 0.250 0.250 0.000
Ge3 0.336 0.836 0.172
Ge4 0.664 0.164 0.828
Ge5 0.750 0.750 0.000
Ge6 0.836 0.664 0.500
Mo1 0.250 0.750 0.500
Mo2 0.750 0.250 0.500
```

Most intense lines, 10 to 90 degrees two-theta, sorted by position:
d 2.433, 2θ 36.9, intensity 31
d 2.352, 2θ 38.3, intensity 22
d 2.272, 2θ 39.7, intensity 89
d 2.232, 2θ 40.4, intensity 88
d 2.187, 2θ 41.3, intensity 100
d 2.068, 2θ 43.8, intensity 50
d 1.784, 2θ 51.2, intensity 26
d 1.742, 2θ 52.5, intensity 22
d 1.392, 2θ 67.2, intensity 27
d 1.217, 2θ 78.6, intensity 28